This entry pairs a crystal structure of Ni5Pt with its simulated powder diffractogram. Radiation: Cu Kα (weighted mean of Kα1 and Kα2). Structure: DFT lattice parameters and positions (PBE).

Top 10 peaks for 2θ = 15–90°, most intense first:
2θ = 46.02°, I 100.0
2θ = 43.37°, I 36.8
2θ = 40.30°, I 23.5
2θ = 15.29°, I 23.0
2θ = 46.90°, I 19.9
2θ = 47.05°, I 19.5
2θ = 41.36°, I 16.1
2θ = 74.70°, I 14.2
2θ = 19.58°, I 14.2
2θ = 21.29°, I 13.8

Cell: 9.432 2.607 6.028 Å, 90.00 106.02 90.00°
Space group Cm (No. 8)
Inequivalent atoms, fractional coordinates:
Ni: 0.000 0.000 0.000 x2
Ni: 0.051 0.000 0.586 x2
Ni: 0.169 0.500 0.333 x2
Ni: 0.340 0.000 0.653 x2
Ni: 0.391 0.000 0.273 x2
Pt: 0.219 0.500 0.928 x2